[1]
Calculated powder diffractogram
Compound: NdSm2TmSc
Radiation: Cu Kα
Structure: DFT lattice parameters and positions (PBE)

Main lines, low angle first (2θ from 10° to 80°):
- hkl 0 2 1, 26.68 deg, rel. 11
- hkl 0 0 2, 26.79 deg, rel. 11
- hkl 2 0 0, 28.75 deg, rel. 40
- hkl 0 1 2, 29.22 deg, rel. 20
- hkl 1 2 1, 30.38 deg, rel. 100
- hkl 1 0 2, 30.48 deg, rel. 29
- hkl 2 0 2, 39.66 deg, rel. 31
- hkl 1 3 1, 40.26 deg, rel. 13
- hkl 3 2 1, 51.98 deg, rel. 30
- hkl 1 3 3, 56.74 deg, rel. 12

Cell and atoms:
```
data_NdSm2TmSc
_space_group_name_H-M_alt 'P m m a'
_space_group_IT_number 51
_space_group_name_Hall '-P 2a 2a'
_cell_length_a 6.2106
_cell_length_b 7.7270
_cell_length_c 6.6543
_cell_angle_alpha 90.00
_cell_angle_beta 90.00
_cell_angle_gamma 90.00
loop_
_atom_site_label
_atom_site_type_symbol
_atom_site_fract_x
_atom_site_fract_y
_atom_site_fract_z
Nd1 Nd 0.2500 0.0000 0.1936
Sm1 Sm 0.2500 0.2079 0.7178
Tm1 Tm 0.2500 0.5000 0.0943
Sc1 Sc 0.0000 0.5000 0.5000
```

***

[2]
Calculated powder diffractogram
Compound: Tm4Al2O9
Radiation: Cu Kα
Structure: DFT lattice parameters and positions (PBE)

Main lines, low angle first (2θ from 10° to 80°):
- hkl 0 1 1, 11.94 deg, rel. 27
- hkl 0 1 2, 18.83 deg, rel. 34
- hkl 0 1 3, 26.70 deg, rel. 20
- hkl 2 2 -1, 30.01 deg, rel. 100
- hkl 0 2 3, 30.65 deg, rel. 62
- hkl 0 3 2, 30.86 deg, rel. 32
- hkl 0 4 0, 34.55 deg, rel. 17
- hkl 2 0 2, 35.16 deg, rel. 16
- hkl 2 4 2, 50.12 deg, rel. 18
- hkl 2 4 -4, 50.58 deg, rel. 18

Cell and atoms:
```
data_Tm4Al2O9
_space_group_name_H-M_alt 'P 1 21/c 1'
_space_group_IT_number 14
_space_group_name_Hall '-P 2ybc'
_cell_length_a 7.2726
_cell_length_b 10.3833
_cell_length_c 11.1302
_cell_angle_alpha 90.00
_cell_angle_beta 108.11
_cell_angle_gamma 90.00
loop_
_atom_site_label
_atom_site_type_symbol
_atom_site_fract_x
_atom_site_fract_y
_atom_site_fract_z
Tm1 Tm 0.0214 0.1002 0.3035
Tm2 Tm 0.1605 0.6216 0.5821
Tm3 Tm 0.3423 0.1270 0.9404
Tm4 Tm 0.4786 0.6131 0.2165
Al1 Al 0.2151 0.1747 0.6274
Al2 Al 0.3452 0.6720 0.8885
O1 O 0.0699 0.2325 0.4805
O2 O 0.0778 0.5071 0.3932
O3 O 0.2061 0.7447 0.2526
O4 O 0.2122 0.0094 0.6528
O5 O 0.2307 0.2442 0.2706
O6 O 0.3079 0.5090 0.8457
O7 O 0.3638 0.7315 0.0404
O8 O 0.4331 0.2403 0.6154
O9 O 0.4359 0.5077 0.6088
```

***

[3]
Calculated powder diffractogram
Compound: Tb8TcNi2
Radiation: Cu Kα
Structure: DFT lattice parameters and positions (PBE)

Main lines, low angle first (2θ from 10° to 80°):
- hkl 2 2 -1, 27.46 deg, rel. 26
- hkl 1 3 1, 30.99 deg, rel. 53
- hkl 1 1 -2, 31.54 deg, rel. 73
- hkl 2 0 1, 32.21 deg, rel. 68
- hkl 0 4 1, 32.49 deg, rel. 100
- hkl 3 1 -1, 34.15 deg, rel. 72
- hkl 0 2 2, 35.44 deg, rel. 25
- hkl 2 2 -2, 36.31 deg, rel. 25
- hkl 2 4 0, 36.62 deg, rel. 49
- hkl 1 5 -1, 39.21 deg, rel. 55

Cell and atoms:
```
data_Tb8TcNi2
_space_group_name_H-M_alt 'C 1 m 1'
_space_group_IT_number 8
_space_group_name_Hall 'C -2y'
_cell_length_a 8.1494
_cell_length_b 12.7098
_cell_length_c 5.8254
_cell_angle_alpha 90.00
_cell_angle_beta 108.51
_cell_angle_gamma 90.00
loop_
_atom_site_label
_atom_site_type_symbol
_atom_site_fract_x
_atom_site_fract_y
_atom_site_fract_z
Tb1 Tb 0.0000 0.0000 0.0000
Tb2 Tb 0.0699 0.3736 0.7817
Tb3 Tb 0.1576 0.1258 0.5921
Tb4 Tb 0.2220 0.5000 0.3534
Tb5 Tb 0.3664 0.2152 0.1808
Tc1 Tc 0.3578 0.0000 0.0764
Ni1 Ni 0.3608 0.3046 0.6769
```

***

[4]
Calculated powder diffractogram
Compound: Cs2RhBr2F4
Radiation: Cu Kα
Structure: DFT lattice parameters and positions (PBE)

Main lines, low angle first (2θ from 10° to 80°):
- hkl 1 0 1, 15.82 deg, rel. 25
- hkl 2 0 0, 24.32 deg, rel. 100
- hkl 1 1 2, 26.78 deg, rel. 37
- hkl 2 0 2, 31.96 deg, rel. 57
- hkl 2 2 0, 34.66 deg, rel. 58
- hkl 0 0 4, 41.58 deg, rel. 31
- hkl 2 0 4, 48.73 deg, rel. 25
- hkl 2 2 4, 55.20 deg, rel. 35
- hkl 4 2 0, 56.19 deg, rel. 24
- hkl 4 2 4, 72.26 deg, rel. 24

Cell and atoms:
```
data_Cs2RhBr2F4
_space_group_name_H-M_alt 'I 4/m m m'
_space_group_IT_number 139
_space_group_name_Hall '-I 4 2'
_cell_length_a 7.3210
_cell_length_b 7.3210
_cell_length_c 8.6951
_cell_angle_alpha 90.00
_cell_angle_beta 90.00
_cell_angle_gamma 90.00
loop_
_atom_site_label
_atom_site_type_symbol
_atom_site_fract_x
_atom_site_fract_y
_atom_site_fract_z
Cs1 Cs 0.0000 0.5000 0.2500
Rh1 Rh 0.0000 0.0000 0.0000
Br1 Br 0.0000 0.0000 0.2873
F1 F 0.1896 0.1896 0.0000
```

***

[5]
Calculated powder diffractogram
Compound: Er3GaI3
Radiation: Cu Kα
Structure: DFT lattice parameters and positions (PBE)

Main lines, low angle first (2θ from 10° to 80°):
- hkl 1 1 0, 10.34 deg, rel. 18
- hkl 3 2 1, 27.58 deg, rel. 28
- hkl 4 0 0, 29.52 deg, rel. 100
- hkl 3 3 2, 34.77 deg, rel. 17
- hkl 4 4 0, 42.24 deg, rel. 69
- hkl 4 4 4, 52.37 deg, rel. 23
- hkl 7 2 1, 55.82 deg, rel. 14
- hkl 7 3 2, 60.20 deg, rel. 12
- hkl 8 4 0, 69.46 deg, rel. 25
- hkl 8 4 4, 77.23 deg, rel. 17

Cell and atoms:
```
data_Er3GaI3
_space_group_name_H-M_alt 'I 41 3 2'
_space_group_IT_number 214
_space_group_name_Hall 'I 4bd 2c 3'
_cell_length_a 12.1032
_cell_length_b 12.1032
_cell_length_c 12.1032
_cell_angle_alpha 90.00
_cell_angle_beta 90.00
_cell_angle_gamma 90.00
loop_
_atom_site_label
_atom_site_type_symbol
_atom_site_fract_x
_atom_site_fract_y
_atom_site_fract_z
Er1 Er 0.1066 0.3566 0.1250
Ga1 Ga 0.1250 0.1250 0.1250
I1 I 0.1184 0.1316 0.6250
```

***

[6]
Calculated powder diffractogram
Compound: Ta7Br6
Radiation: Cu Kα
Structure: DFT lattice parameters and positions (PBE)

Main lines, low angle first (2θ from 10° to 80°):
- hkl 0 0 6, 15.67 deg, rel. 100
- hkl 1 0 1, 18.03 deg, rel. 68
- hkl 1 1 6, 35.06 deg, rel. 47
- hkl 0 2 1, 36.23 deg, rel. 46
- hkl 0 2 4, 37.71 deg, rel. 45
- hkl 2 0 5, 38.57 deg, rel. 80
- hkl 0 2 7, 40.79 deg, rel. 56
- hkl 0 2 10, 45.22 deg, rel. 51
- hkl 2 0 11, 46.95 deg, rel. 56
- hkl 2 2 0, 64.98 deg, rel. 37

Cell and atoms:
```
data_Ta7Br6
_space_group_name_H-M_alt 'R -3 m'
_space_group_IT_number 166
_space_group_name_Hall '-R 3 2"'
_cell_length_a 5.7411
_cell_length_b 5.7411
_cell_length_c 33.9224
_cell_angle_alpha 90.00
_cell_angle_beta 90.00
_cell_angle_gamma 120.00
loop_
_atom_site_label
_atom_site_type_symbol
_atom_site_fract_x
_atom_site_fract_y
_atom_site_fract_z
Ta1 Ta 0.0000 0.0000 0.0000
Ta2 Ta 0.0186 0.5093 0.5947
Br1 Br 0.0000 0.0000 0.1370
Br2 Br 0.0000 0.0000 0.3205
Br3 Br 0.0000 0.0000 0.4211
```

***

[7]
Calculated powder diffractogram
Compound: K4Cu3AgBr12
Radiation: Cu Kα
Structure: DFT lattice parameters and positions (PBE)

Main lines, low angle first (2θ from 10° to 80°):
- hkl 2 0 0, 16.95 deg, rel. 63
- hkl 2 2 2, 29.57 deg, rel. 63
- hkl 4 0 0, 34.28 deg, rel. 100
- hkl 4 2 0, 38.47 deg, rel. 32
- hkl 4 4 0, 49.26 deg, rel. 68
- hkl 6 0 0, 52.47 deg, rel. 16
- hkl 6 2 2, 58.51 deg, rel. 25
- hkl 4 4 4, 61.38 deg, rel. 23
- hkl 8 0 0, 72.23 deg, rel. 10
- hkl 6 6 2, 79.92 deg, rel. 10

Cell and atoms:
```
data_K4Cu3AgBr12
_space_group_name_H-M_alt 'I m -3 m'
_space_group_IT_number 229
_space_group_name_Hall '-I 4 2 3'
_cell_length_a 10.4642
_cell_length_b 10.4642
_cell_length_c 10.4642
_cell_angle_alpha 90.00
_cell_angle_beta 90.00
_cell_angle_gamma 90.00
loop_
_atom_site_label
_atom_site_type_symbol
_atom_site_fract_x
_atom_site_fract_y
_atom_site_fract_z
K1 K 0.2500 0.2500 0.2500
Cu1 Cu 0.0000 0.0000 0.5000
Ag1 Ag 0.0000 0.0000 0.0000
Br1 Br 0.0000 0.0000 0.2615
Br2 Br 0.0000 0.2500 0.5000
```

***

[8]
Calculated powder diffractogram
Compound: Cd2Hg3
Radiation: Cu Kα
Structure: DFT lattice parameters and positions (PBE)

Main lines, low angle first (2θ from 10° to 80°):
- hkl 0 0 6, 15.92 deg, rel. 4
- hkl 0 1 5, 31.55 deg, rel. 100
- hkl 1 0 10, 39.43 deg, rel. 55
- hkl 0 0 15, 40.50 deg, rel. 17
- hkl 1 1 0, 50.47 deg, rel. 27
- hkl 2 0 5, 60.74 deg, rel. 15
- hkl 0 1 20, 63.07 deg, rel. 14
- hkl 0 2 10, 65.87 deg, rel. 12
- hkl 1 1 15, 66.61 deg, rel. 23
- hkl 1 0 25, 77.68 deg, rel. 8

Cell and atoms:
```
data_Cd2Hg3
_space_group_name_H-M_alt 'R -3 m'
_space_group_IT_number 166
_space_group_name_Hall '-R 3 2"'
_cell_length_a 3.6168
_cell_length_b 3.6168
_cell_length_c 33.4106
_cell_angle_alpha 90.00
_cell_angle_beta 90.00
_cell_angle_gamma 120.00
loop_
_atom_site_label
_atom_site_type_symbol
_atom_site_fract_x
_atom_site_fract_y
_atom_site_fract_z
Cd1 Cd 0.0000 0.0000 0.1007
Hg1 Hg 0.0000 0.0000 0.2990
Hg2 Hg 0.0000 0.0000 0.5000
```

***

[9]
Calculated powder diffractogram
Compound: Tb4Nd6Tm
Radiation: Cu Kα
Structure: DFT lattice parameters and positions (PBE)

Main lines, low angle first (2θ from 10° to 80°):
- hkl 1 1 4, 27.93 deg, rel. 20
- hkl 2 0 2, 28.88 deg, rel. 65
- hkl 0 0 6, 30.67 deg, rel. 100
- hkl 2 0 4, 34.00 deg, rel. 57
- hkl 1 1 6, 36.28 deg, rel. 16
- hkl 2 2 0, 38.56 deg, rel. 19
- hkl 2 1 5, 39.92 deg, rel. 33
- hkl 2 2 6, 50.01 deg, rel. 23
- hkl 4 1 1, 57.79 deg, rel. 22
- hkl 4 1 5, 63.91 deg, rel. 17

Cell and atoms:
```
data_Tb4Nd6Tm
_space_group_name_H-M_alt 'I -4 2 m'
_space_group_IT_number 121
_space_group_name_Hall 'I -4 2'
_cell_length_a 6.6041
_cell_length_b 6.6041
_cell_length_c 17.5206
_cell_angle_alpha 90.00
_cell_angle_beta 90.00
_cell_angle_gamma 90.00
loop_
_atom_site_label
_atom_site_type_symbol
_atom_site_fract_x
_atom_site_fract_y
_atom_site_fract_z
Tb1 Tb 0.1856 0.1856 0.1747
Nd1 Nd 0.0000 0.5000 0.0000
Nd2 Nd 0.1786 0.1786 0.3655
Tm1 Tm 0.0000 0.0000 0.0000
```

***

[10]
Calculated powder diffractogram
Compound: CePr4Er3
Radiation: Cu Kα
Structure: DFT lattice parameters and positions (PBE)

Main lines, low angle first (2θ from 10° to 80°):
- hkl 1 1 0, 26.14 deg, rel. 21
- hkl 1 1 -1, 28.96 deg, rel. 25
- hkl 6 0 -2, 30.31 deg, rel. 100
- hkl 8 0 0, 31.39 deg, rel. 43
- hkl 5 1 0, 32.56 deg, rel. 16
- hkl 5 1 -1, 33.03 deg, rel. 42
- hkl 1 1 2, 38.80 deg, rel. 17
- hkl 0 2 0, 53.15 deg, rel. 21
- hkl 6 2 -2, 62.41 deg, rel. 26
- hkl 8 2 0, 63.01 deg, rel. 18

Cell and atoms:
```
data_CePr4Er3
_space_group_name_H-M_alt 'C 1 2/m 1'
_space_group_IT_number 12
_space_group_name_Hall '-C 2y'
_cell_length_a 23.8023
_cell_length_b 3.4473
_cell_length_c 6.8904
_cell_angle_alpha 90.00
_cell_angle_beta 106.69
_cell_angle_gamma 90.00
loop_
_atom_site_label
_atom_site_type_symbol
_atom_site_fract_x
_atom_site_fract_y
_atom_site_fract_z
Ce1 Ce 0.0000 0.0000 0.0000
Pr1 Pr 0.1215 0.5000 0.3653
Pr2 Pr 0.2409 0.0000 0.2331
Er1 Er 0.0000 0.5000 0.5000
Er2 Er 0.1218 0.5000 0.8809
```

***

[11]
Calculated powder diffractogram
Compound: Na5Tc2H12
Radiation: Cu Kα
Structure: DFT lattice parameters and positions (PBE)

Main lines, low angle first (2θ from 10° to 80°):
- hkl 0 1 1, 16.10 deg, rel. 100
- hkl 0 2 2, 32.53 deg, rel. 48
- hkl 2 1 1, 33.10 deg, rel. 51
- hkl 0 1 3, 35.42 deg, rel. 14
- hkl 2 0 2, 36.49 deg, rel. 27
- hkl 2 2 0, 37.54 deg, rel. 37
- hkl 2 1 3, 46.23 deg, rel. 18
- hkl 2 3 1, 47.95 deg, rel. 16
- hkl 2 3 3, 58.41 deg, rel. 14
- hkl 2 4 2, 62.07 deg, rel. 15

Cell and atoms:
```
data_Na5Tc2H12
_space_group_name_H-M_alt 'I m m m'
_space_group_IT_number 71
_space_group_name_Hall '-I 2 2'
_cell_length_a 6.2156
_cell_length_b 7.5257
_cell_length_c 8.0736
_cell_angle_alpha 90.00
_cell_angle_beta 90.00
_cell_angle_gamma 90.00
loop_
_atom_site_label
_atom_site_type_symbol
_atom_site_fract_x
_atom_site_fract_y
_atom_site_fract_z
Na1 Na 0.0000 0.0000 0.0000
Na2 Na 0.0000 0.2744 0.2754
Tc1 Tc 0.2501 0.0000 0.5000
H1 H 0.0000 0.1198 0.5000
H2 H 0.0000 0.5000 0.1110
H3 H 0.2223 0.0000 0.2794
H4 H 0.2244 0.2632 0.0000
```